Diffraction record for Er2Ge4Pd5. The PXRD pattern is calculated, not measured: it uses a crystal structure in Alexandria, relaxed with PBE and copper Kα.

Structural model:
```
Er2Ge4Pd5
1.0
0.000 4.785 7.644
2.810 0.000 7.644
2.810 4.785 0.000
Er Ge Pd
2 4 5
Cartesian
2.810 4.785 2.072
2.810 4.785 13.215
2.810 3.386 5.614
2.810 3.386 9.673
2.810 6.183 5.614
2.810 6.183 9.673
1.405 2.392 0.000
1.405 2.392 3.822
1.405 2.392 7.644
2.810 4.785 7.644
4.215 7.177 11.466
```

Largest 12 diffraction maxima, sorted by position, 2θ from 10° to 80°:
d 3.512, 2θ 25.4, I 40.1; d 2.986, 2θ 29.9, I 76.1; d 2.729, 2θ 32.8, I 32.8; d 2.436, 2θ 36.9, I 100.0; d 2.423, 2θ 37.1, I 83.7; d 2.392, 2θ 37.6, I 24.0; d 2.264, 2θ 39.8, I 96.6; d 2.054, 2θ 44.1, I 25.8; d 1.911, 2θ 47.6, I 39.9; d 1.540, 2θ 60.1, I 23.9; d 1.500, 2θ 61.8, I 33.6; d 1.387, 2θ 67.5, I 26.6